No. 1
# La4Dy2ErSc
Theoretical powder diffractogram, Cu Kα. Input: a cell relaxed with GGA-PBE.

Largest 10 diffraction maxima, low angle first, 10° ≤ 2θ ≤ 80°:
Position (°2θ)	d_spacing	I/Imax	(hkl)
30.4	2.937	100	1 1 2
34.4	2.609	18	0 2 0
34.5	2.601	18	2 0 0
36.9	2.434	15	0 0 4
49.5	1.842	13	2 2 0
51.4	1.778	23	2 0 4
59.1	1.562	15	1 3 2
59.3	1.559	15	3 1 2
62.6	1.485	13	1 1 6
63.3	1.469	12	2 2 4

Structural model:
Cell: 5.202 5.217 9.735 Å, 90.00 90.00 90.00°
Space group Pmmm (No. 47)
One atom of each set of equivalent atoms:
1 La 0.000 0.000 0.245 x2
2 La 0.500 0.500 0.246 x2
3 Dy 0.000 0.500 0.000 x1
4 Dy 0.500 0.000 0.500 x1
5 Er 0.000 0.500 0.500 x1
6 Sc 0.500 0.000 0.000 x1

=====

No. 2
# LaDy2ErSc
Theoretical powder diffractogram, Cu Kα. Input: a cell relaxed with GGA-PBE.

Largest 10 diffraction maxima, low angle first, 10° ≤ 2θ ≤ 80°:
Position (°2θ)	d_spacing	I/Imax	(hkl)
26.9	3.316	78	0 1 2
29.9	2.990	24	1 1 0
31.8	2.815	100	1 1 1
32.8	2.729	46	0 2 0
36.2	2.480	22	0 1 3
41.1	2.196	35	1 0 3
53.6	1.711	32	1 2 3
57.9	1.592	18	1 3 1
58.7	1.573	18	2 1 2
63.8	1.458	24	1 1 5

Structural model:
Cell: 3.574 5.458 8.351 Å, 90.00 90.00 90.00°
Space group Pmmm (No. 47)
One atom of each set of equivalent atoms:
1 La 0.000 0.000 0.000 x1
2 Dy 0.000 0.500 0.314 x2
3 Er 0.500 0.000 0.500 x1
4 Sc 0.500 0.500 0.000 x1

=====

No. 3
# LaDyEr2Sc2
Theoretical powder diffractogram, Cu Kα. Input: a cell relaxed with GGA-PBE.

Largest 10 diffraction maxima, low angle first, 10° ≤ 2θ ≤ 80°:
Position (°2θ)	d_spacing	I/Imax	(hkl)
20.3	4.376	23	0 4 0
24.8	3.588	30	1 4 0
30.3	2.947	100	2 2 0
30.6	2.917	33	0 6 0
30.9	2.897	60	0 3 1
32.1	2.789	25	1 2 1
33.9	2.645	20	1 6 0
36.8	2.441	31	1 4 1
50.9	1.794	20	2 8 0
52.8	1.735	20	3 2 1

Structural model:
Cell: 6.266 17.504 3.332 Å, 90.00 90.00 90.00°
Space group Pnnm (No. 58)
One atom of each set of equivalent atoms:
1 La 0.000 0.000 0.000 x2
2 Dy 0.000 0.500 0.000 x2
3 Er 0.212 0.194 0.000 x4
4 Sc 0.208 0.354 0.500 x4

=====

No. 4
# LaSmDy4Er2
Theoretical powder diffractogram, Cu Kα. Input: a cell relaxed with GGA-PBE.

Largest 10 diffraction maxima, low angle first, 10° ≤ 2θ ≤ 80°:
Position (°2θ)	d_spacing	I/Imax	(hkl)
29.8	2.997	45	2 0 1
31.0	2.884	35	0 0 4
32.8	2.733	100	0 2 2
37.2	2.415	25	2 0 -3
49.2	1.852	11	2 0 5
50.9	1.793	17	2 4 0
51.0	1.790	9	4 2 0
56.3	1.634	22	0 2 6
60.9	1.522	25	4 2 4
61.9	1.499	11	4 0 -2

Structural model:
Cell: 7.161 7.166 11.536 Å, 89.98 89.99 60.11°
Space group P-1 (No. 2)
One atom of each set of equivalent atoms:
1 La 0.000 0.000 0.000 x1
2 La 0.500 0.500 0.000 x1
3 Sm 0.000 0.000 0.500 x1
4 Sm 0.500 0.000 0.000 x1
5 Dy 0.166 0.167 0.253 x2
6 Dy 0.167 0.667 0.253 x2
7 Dy 0.334 0.333 0.747 x2
8 Dy 0.334 0.833 0.747 x2
9 Er 0.000 0.500 0.000 x1
10 Er 0.000 0.500 0.500 x1
11 Er 0.500 0.000 0.500 x1
12 Er 0.500 0.500 0.500 x1

=====

No. 5
# LaSm2Dy2Er2
Theoretical powder diffractogram, Cu Kα. Input: a cell relaxed with GGA-PBE.

Largest 10 diffraction maxima, low angle first, 10° ≤ 2θ ≤ 80°:
Position (°2θ)	d_spacing	I/Imax	(hkl)
26.2	3.406	35	1 1 0
29.9	2.991	57	1 1 1
30.0	2.978	33	3 1 -1
30.7	2.909	100	2 0 -3
31.2	2.865	43	3 1 0
31.4	2.852	88	4 0 1
31.5	2.839	89	6 0 -2
33.2	2.697	61	3 1 -2
36.5	2.464	36	3 1 1
62.3	1.490	50	6 2 -2

Structural model:
Cell: 17.289 3.498 8.870 Å, 90.00 119.95 90.00°
Space group C2/m (No. 12)
One atom of each set of equivalent atoms:
1 La 0.000 0.000 0.000 x2
2 Sm 0.068 0.500 0.722 x4
3 Dy 0.227 0.500 0.150 x4
4 Er 0.155 0.500 0.449 x4

=====

No. 6
# La2Tb2DyEr
Theoretical powder diffractogram, Cu Kα. Input: a cell relaxed with GGA-PBE.

Largest 10 diffraction maxima, low angle first, 10° ≤ 2θ ≤ 80°:
Position (°2θ)	d_spacing	I/Imax	(hkl)
31.1	2.878	91	1 1 2
31.4	2.851	100	2 0 0
40.6	2.221	11	2 0 2
44.8	2.025	33	2 2 2
55.7	1.651	35	3 1 2
55.9	1.646	19	3 3 0
61.7	1.504	29	2 0 4
65.5	1.425	12	4 0 0
74.3	1.277	15	4 2 2
79.5	1.205	14	3 3 4

Structural model:
Cell: 5.700 9.877 7.082 Å, 90.00 90.00 90.00°
Space group Pmc2_1 (No. 26)
One atom of each set of equivalent atoms:
1 La 0.000 0.001 0.000 x2
2 La 0.500 0.178 0.750 x2
3 Tb 0.000 0.334 0.750 x2
4 Tb 0.500 0.166 0.250 x2
5 Dy 0.000 0.342 0.251 x2
6 Er 0.500 0.500 0.000 x2

=====

No. 7
# La4Tb2DyEr2
Theoretical powder diffractogram, Cu Kα. Input: a cell relaxed with GGA-PBE.

Largest 10 diffraction maxima, low angle first, 10° ≤ 2θ ≤ 80°:
Position (°2θ)	d_spacing	I/Imax	(hkl)
30.1	2.965	100	6 0 1
34.9	2.568	51	3 1 2
50.1	1.820	6	0 2 0
50.2	1.816	24	9 1 0
50.3	1.812	6	6 0 4
59.6	1.551	14	6 2 1
59.7	1.548	21	12 0 -1
59.8	1.547	7	9 1 3
62.6	1.485	6	6 2 -2
62.8	1.481	6	12 0 2

Structural model:
Cell: 18.849 3.640 8.888 Å, 90.00 90.12 90.00°
Space group C2/m (No. 12)
One atom of each set of equivalent atoms:
1 La 0.056 0.000 0.172 x4
2 La 0.223 0.500 0.173 x4
3 Tb 0.111 0.500 0.828 x4
4 Dy 0.000 0.500 0.500 x2
5 Er 0.166 0.000 0.502 x4

=====

No. 8
# La2TbDyEr
Theoretical powder diffractogram, Cu Kα. Input: a cell relaxed with GGA-PBE.

Largest 10 diffraction maxima, low angle first, 10° ≤ 2θ ≤ 80°:
Position (°2θ)	d_spacing	I/Imax	(hkl)
27.8	3.215	26	2 0 0
28.7	3.111	44	0 1 2
29.7	3.006	100	1 2 1
30.8	2.904	20	2 0 1
32.0	2.800	36	1 1 2
32.9	2.724	43	2 1 1
38.6	2.333	32	2 0 2
46.7	1.946	24	2 3 1
50.3	1.813	25	3 2 1
65.4	1.427	17	0 5 2

Structural model:
Cell: 6.429 7.862 6.775 Å, 90.00 90.00 90.00°
Space group Pmma (No. 51)
One atom of each set of equivalent atoms:
1 La 0.250 0.202 0.210 x4
2 Tb 0.250 0.000 0.685 x2
3 Dy 0.250 0.500 0.907 x2
4 Er 0.000 0.500 0.500 x2

=====

No. 9
# LaTb3DyEr
Theoretical powder diffractogram, Cu Kα. Input: a cell relaxed with GGA-PBE.

Largest 10 diffraction maxima, low angle first, 10° ≤ 2θ ≤ 80°:
Position (°2θ)	d_spacing	I/Imax	(hkl)
25.3	3.519	23	0 0 2
30.1	2.966	99	5 1 -1
30.3	2.952	29	1 1 2
30.4	2.940	69	5 1 1
30.9	2.890	28	4 0 -2
31.5	2.836	100	0 2 0
32.7	2.737	49	3 1 -2
33.0	2.713	73	3 1 2
35.4	2.537	51	7 1 0
55.3	1.661	24	5 3 -1

Structural model:
Cell: 19.855 5.673 7.039 Å, 90.00 90.81 90.00°
Space group C2/m (No. 12)
One atom of each set of equivalent atoms:
1 La 0.144 0.000 0.023 x4
2 Tb 0.022 0.000 0.732 x4
3 Tb 0.163 0.500 0.721 x4
4 Tb 0.220 0.500 0.243 x4
5 Dy 0.054 0.500 0.277 x4
6 Er 0.149 0.000 0.456 x4

=====

No. 10
# LaDy2ErTl4
Theoretical powder diffractogram, Cu Kα. Input: a cell relaxed with GGA-PBE.

Largest 10 diffraction maxima, low angle first, 10° ≤ 2θ ≤ 80°:
Position (°2θ)	d_spacing	I/Imax	(hkl)
32.9	2.725	100	0 1 8
33.0	2.711	100	1 1 0
47.3	1.922	37	2 0 8
58.6	1.576	19	1 0 16
58.9	1.568	38	1 2 8
59.0	1.565	19	3 0 0
68.9	1.362	12	0 2 16
69.3	1.356	12	2 2 0
78.6	1.217	16	2 1 16
78.9	1.214	17	3 1 8

Structural model:
Cell: 5.4222 5.4222 26.7643 Å, 90.00 90.00 120.00°
Space group R-3m (No. 166, hexagonal axes)
One atom of each set of equivalent atoms:
1 La 0.0000 0.0000 0.0000 x3
2 Dy 0.0000 0.0000 0.2489 x6
3 Er 0.0000 0.0000 0.5000 x3
4 Tl 0.0000 0.0000 0.1274 x6
5 Tl 0.0000 0.0000 0.3779 x6

=====

No. 11
# La2Dy2Er2Tm
Theoretical powder diffractogram, Cu Kα. Input: a cell relaxed with GGA-PBE.

Largest 10 diffraction maxima, low angle first, 10° ≤ 2θ ≤ 80°:
Position (°2θ)	d_spacing	I/Imax	(hkl)
27.7	3.219	88	1 1 -1
30.4	2.943	95	2 0 2
30.5	2.929	100	6 0 -1
32.1	2.785	78	4 0 -3
33.9	2.648	98	3 1 -2
35.8	2.508	79	3 1 1
38.5	2.336	42	5 1 0
52.8	1.733	37	1 1 -4
55.1	1.668	25	9 1 -3
62.1	1.496	74	6 2 -1

Structural model:
Cell: 17.705 3.476 8.540 Å, 90.00 117.01 90.00°
Space group C2/m (No. 12)
One atom of each set of equivalent atoms:
1 La 0.147 0.000 0.379 x4
2 Dy 0.069 0.000 0.901 x4
3 Er 0.211 0.500 0.802 x4
4 Tm 0.000 0.500 0.500 x2

=====

No. 12
# La5Dy2ErTm
Theoretical powder diffractogram, Cu Kα. Input: a cell relaxed with GGA-PBE.

Largest 10 diffraction maxima, low angle first, 10° ≤ 2θ ≤ 80°:
Position (°2θ)	d_spacing	I/Imax	(hkl)
28.2	3.169	46	2 1 3
28.6	3.119	100	2 0 4
31.2	2.868	39	2 2 0
33.7	2.658	17	2 1 5
35.0	2.565	10	3 1 0
35.4	2.538	11	2 0 6
36.2	2.481	11	3 1 2
36.8	2.441	24	0 0 8
49.0	1.859	21	2 2 8
53.9	1.700	23	4 2 4

Structural model:
Cell: 8.112 8.112 19.524 Å, 90.00 90.00 90.00°
Space group I4/mcm (No. 140)
One atom of each set of equivalent atoms:
1 La 0.000 0.000 0.000 x4
2 La 0.213 0.287 0.136 x16
3 Dy 0.129 0.371 0.500 x8
4 Er 0.000 0.500 0.250 x4
5 Tm 0.000 0.000 0.250 x4

=====

No. 13
# La2DyEr5Tm
Theoretical powder diffractogram, Cu Kα. Input: a cell relaxed with GGA-PBE.

Largest 10 diffraction maxima, low angle first, 10° ≤ 2θ ≤ 80°:
Position (°2θ)	d_spacing	I/Imax	(hkl)
28.4	3.137	18	0 6 1
30.0	2.975	36	1 1 3
31.9	2.808	39	2 0 0
32.4	2.761	100	1 5 2
33.5	2.673	14	0 0 4
43.2	2.092	13	2 6 1
46.9	1.936	11	2 0 4
57.1	1.612	28	3 5 2
60.1	1.539	13	1 11 3
61.4	1.511	12	2 6 5

Structural model:
Cell: 5.616 19.691 10.694 Å, 90.00 90.00 90.00°
Space group Cmc2_1 (No. 36)
One atom of each set of equivalent atoms:
1 La 0.000 0.113 0.000 x4
2 La 0.000 0.115 0.584 x4
3 Dy 0.000 0.414 0.728 x4
4 Er 0.000 0.017 0.291 x4
5 Er 0.000 0.282 0.575 x4
6 Er 0.000 0.299 0.973 x4
7 Er 0.000 0.387 0.287 x4
8 Er 0.000 0.481 0.005 x4
9 Tm 0.000 0.201 0.278 x4